Starting from a DFT-relaxed cell (GGA-PBE, Alexandria), the powder diffractogram of Dy2Hg3Rh was computed for Cu Ka.
Lines closer than 0.1° are merged.

Top 6 peaks for 2θ = 15–90°, sorted by position:
33.79°, intensity 100.0, (1 1 1); 37.03°, intensity 84.3, (0 2 0); 45.85°, intensity 20.8, (1 1 3); 51.00°, intensity 26.2, (1 2 2); 64.67°, intensity 22.5, (1 3 1); 66.96°, intensity 30.3, (2 2 0)

Crystal structure
a b c (Å): 3.4183 4.8571 8.4065
angles (deg): 90.00 90.00 90.00
Space group Pmm2 (No. 25)
Inequivalent atoms, fractional coordinates:
Dy 0.0000 0.0000 0.0000 (multiplicity 1)
Dy 0.0000 0.5000 0.4221 (multiplicity 1)
Hg 0.5000 0.0000 0.6046 (multiplicity 1)
Hg 0.5000 0.5000 0.1158 (multiplicity 1)
Hg 0.5000 0.5000 0.7790 (multiplicity 1)
Rh 0.5000 0.0000 0.2762 (multiplicity 1)